(1)
Theoretical XRD peak list of BaSnH6O6 for CuKα, from a DFT-relaxed cell (GGA-PBE, Alexandria).
No peak broadening, texture or thermal motion is included.

```
56
Lattice="9.4997 0.0000 0.0000 0.0000 6.4894 0.0000 -5.3724 0.0000 9.7812" Properties=species:S:1:pos:R:3 pbc="T T T"
Ba 0.5060 0.0224 2.1271
Ba -2.1803 3.2223 7.0177
Ba 6.3075 3.2670 2.7635
Ba 3.6213 6.4670 7.6541
Sn -2.6862 0.0000 4.8906
Sn 0.0000 3.2447 0.0000
Sn 4.7499 0.0000 0.0000
Sn 2.0636 3.2447 4.8906
H -0.1424 3.2868 2.5940
H -2.8286 6.4473 7.4846
H -0.7395 4.7495 4.5947
H -3.4257 4.9846 9.4853
H -2.6937 1.4510 9.4591
H -0.0075 1.7937 4.5685
H -0.5950 0.4955 6.4296
H 2.0913 2.7492 1.5391
H 3.8581 4.0682 0.3031
H 1.1719 5.6658 5.1936
H 3.6023 1.0731 2.0428
H 0.9161 2.1716 6.9334
H 3.2111 4.3177 2.8478
H 0.5249 5.4163 7.7384
H 2.9554 0.8235 4.5875
H 0.2692 2.4212 9.4781
H 2.0360 3.7402 8.2421
H 4.7222 5.9939 3.3515
H 4.1348 4.6957 5.2127
H 6.8210 5.0384 0.3221
H 7.5530 1.5048 0.2959
H 4.8668 1.7399 5.1865
H 6.9559 0.0421 2.2966
H 4.2697 3.2026 7.1872
O -0.6091 3.8408 1.9102
O -3.2953 5.8933 6.8008
O -1.7186 4.6325 4.7303
O -4.4048 5.1015 9.6209
O -1.0326 0.9966 5.6904
O 1.6536 2.2481 0.7998
O -2.0733 1.0670 8.7713
O 0.6130 2.1777 3.8807
O -1.6426 4.6773 9.3335
O 1.0436 5.0568 4.4429
O 3.0884 3.3624 3.0157
O 0.4022 6.3716 7.9063
O 3.7250 0.1177 1.8749
O 1.0388 3.1270 6.7655
O 3.0836 1.4326 5.3383
O 5.7699 1.8121 0.4477
O 3.5143 4.3117 5.9005
O 6.2005 5.4224 1.0099
O 2.4736 4.2413 8.9814
O 5.1599 5.4928 4.0908
O 8.5321 1.3878 0.1603
O 5.8459 1.8569 5.0509
O 7.4226 0.5961 2.9804
O 4.7363 2.6486 7.8710
```

Peak list (10 most intense, 2θ = 10–90°, by angle)
two_theta	Rel. int.
10.62	18.2
20.29	64.4
21.85	100.0
27.49	32.2
27.75	64.6
32.09	26.1
34.40	34.5
36.75	14.1
44.14	25.9
45.38	21.4

***

(2)
Theoretical XRD peak list of BaSn2H2O4 for CuKα, from a DFT-relaxed cell (GGA-PBE, Alexandria).
No peak broadening, texture or thermal motion is included.

```
18
Lattice="7.3259 0.0000 0.0000 0.0000 5.8767 0.0000 -2.2746 0.0000 7.3792" Properties=species:S:1:pos:R:3 pbc="T T T"
Ba 0.3831 0.0000 3.1755
Ba 4.6682 2.9383 4.2037
Sn -1.3716 0.0060 6.5363
Sn 0.6388 2.9446 6.2223
Sn 4.4125 0.0063 1.1569
Sn 6.4229 2.9444 0.8429
H 1.6387 2.9489 1.5561
H 1.5272 2.9488 3.7591
H 3.5242 0.0105 3.6201
H 3.4126 0.0106 5.8231
O -0.5700 4.4079 5.3048
O -0.5601 1.4747 5.3033
O 0.8414 2.9527 2.1247
O 2.0064 2.9555 4.6321
O 3.0449 0.0171 2.7471
O 4.2099 0.0144 5.2545
O 5.6114 4.4130 2.0759
O 5.6213 1.4696 2.0744
```

Peak list (10 most intense, 2θ = 10–90°, by angle)
two_theta	Rel. int.
12.64	25.9
23.72	25.9
25.05	67.2
28.22	100.0
29.71	82.7
30.42	55.0
30.53	32.2
43.64	34.9
51.12	19.2
53.79	18.4

***

(3)
Theoretical XRD peak list of Ba2TlH7O7 for CuKα, from a DFT-relaxed cell (GGA-PBE, Alexandria).
No peak broadening, texture or thermal motion is included.

```
34
Lattice="6.0160 -3.3246 0.0000 6.0160 3.3246 0.0000 -1.6103 0.0000 10.5556" Properties=species:S:1:pos:R:3 pbc="T T T"
Ba 3.1751 2.0693 9.1729
Ba 6.4415 2.0693 6.6605
Ba 3.9802 -2.0693 3.8951
Ba 7.2467 -2.0693 1.3827
Tl 2.2029 1.6623 5.2778
Tl 3.0080 -1.6623 0.0000
H 0.2143 0.3683 9.0157
H 3.8744 1.2211 3.1340
H 1.0194 -0.3683 3.7379
H 5.6135 0.8879 2.6389
H 4.5614 0.0738 1.2125
H 3.7562 -0.0738 6.4902
H 7.3525 1.2211 2.1437
H 3.0693 -1.2211 8.4118
H 6.6656 0.0738 4.0653
H 5.8604 -0.0738 9.3431
H 4.8083 -0.8879 7.9167
H 9.4023 0.3683 6.8176
H 6.5474 -1.2211 7.4215
H 10.2075 -0.3683 1.5399
O 3.2482 1.9728 3.1819
O 0.5272 0.3391 4.2119
O -0.2779 -0.3391 9.4896
O 3.9586 0.2752 0.4388
O 3.1535 -0.2752 5.7165
O 7.9787 1.9728 2.0959
O 4.8083 0.0863 7.9167
O 5.6135 -0.0863 2.6389
O 2.4430 -1.9728 8.4597
O 7.2683 0.2752 4.8390
O 6.4631 -0.2752 10.1168
O 10.6997 0.3391 1.0659
O 9.8945 -0.3391 6.3437
O 7.1736 -1.9728 7.3737
```

Peak list (10 most intense, 2θ = 10–90°, by angle)
two_theta	Rel. int.
14.90	41.6
16.86	100.0
24.17	69.1
26.44	95.8
26.82	32.3
28.57	28.5
28.69	84.2
36.41	44.5
42.43	49.3
46.86	26.9

***

(4)
Theoretical XRD peak list of Ba2ZnH6O6 for CuKα, from a DFT-relaxed cell (GGA-PBE, Alexandria).
No peak broadening, texture or thermal motion is included.

```
30
Lattice="6.5087 0.0000 0.0000 0.0000 5.8431 0.0000 -4.3647 0.0000 10.0367" Properties=species:S:1:pos:R:3 pbc="T T T"
Ba 0.3002 0.0310 2.9272
Ba -1.8822 2.8905 7.9455
Ba 4.0262 2.9526 2.0911
Ba 1.8438 5.8121 7.1095
Zn 3.2544 0.0000 0.0000
Zn 1.0720 2.9216 5.0183
H 0.1553 4.3110 0.0942
H -2.0271 4.4536 5.1125
H -1.3713 4.0935 4.9930
H -3.5537 4.6711 10.0113
H -0.3465 1.1252 6.1249
H 1.8358 1.7964 1.1065
H 0.3082 4.0468 8.9301
H 2.4905 4.7179 3.9118
H 5.6977 1.1720 0.0254
H 3.5153 1.7496 5.0437
H 4.1711 1.3895 4.9241
H 1.9887 1.5321 9.9424
O 0.0546 3.0230 2.8581
O -2.1278 5.7417 7.8764
O 0.1397 1.2337 5.2721
O 2.3221 1.6878 0.2537
O -0.7459 0.5089 7.8900
O 1.4364 2.4127 2.8717
O 0.7076 3.4304 7.1650
O 2.8900 5.3342 2.1466
O -0.1781 4.1553 9.7829
O 2.0043 4.6094 4.7646
O 4.2718 0.1014 2.1602
O 2.0894 2.8202 7.1785
```

Peak list (10 most intense, 2θ = 10–90°, by angle)
two_theta	Rel. int.
17.67	49.6
17.99	77.0
20.63	36.8
25.28	100.0
28.04	42.6
29.18	36.2
30.60	48.4
30.80	35.9
35.75	46.4
41.98	31.9

***

(5)
Theoretical XRD peak list of BaHOs2 for CuKα, from a DFT-relaxed cell (GGA-PBE, Alexandria).
No peak broadening, texture or thermal motion is included.

```
8
Lattice="0.0000 4.1030 4.1030 4.1030 0.0000 4.1030 4.1030 4.1030 0.0000" Properties=species:S:1:pos:R:3 pbc="T T T"
Ba 1.0257 1.0257 1.0257
Ba 7.1802 7.1802 7.1802
H 3.0772 3.0772 3.0772
H 5.1287 5.1287 5.1287
Os 4.1030 2.0515 2.0515
Os 2.0515 4.1030 2.0515
Os 2.0515 2.0515 4.1030
Os 4.1030 4.1030 4.1030
```

Peak list (10 most intense, 2θ = 10–90°, by angle)
two_theta	Rel. int.
18.73	19.5
30.82	17.8
36.31	100.0
37.98	52.9
44.15	11.0
54.81	6.8
58.44	34.0
64.21	31.7
76.06	11.9
77.10	20.7

***

(6)
Theoretical XRD peak list of Ba2H6Os for CuKα, from a DFT-relaxed cell (GGA-PBE, Alexandria).
No peak broadening, texture or thermal motion is included.

```
9
Lattice="0.0000 4.0280 4.0280 4.0280 0.0000 4.0280 4.0280 4.0280 0.0000" Properties=species:S:1:pos:R:3 pbc="T T T"
Ba 2.0140 2.0140 2.0140
Ba 6.0420 6.0420 6.0420
H 4.0280 4.0280 1.7411
H 4.0280 1.7411 4.0280
H 6.3149 4.0280 4.0280
H 1.7411 4.0280 4.0280
H 4.0280 6.3149 4.0280
H 4.0280 4.0280 6.3149
Os 0.0000 0.0000 0.0000
```

Peak list (10 most intense, 2θ = 10–90°, by angle)
two_theta	Rel. int.
19.08	40.0
31.41	100.0
37.01	22.3
45.01	19.2
49.31	9.8
55.91	39.1
59.64	7.7
65.55	12.5
68.96	7.5
74.49	17.1